Theoretical X-ray diffraction stick pattern of Cs2AcVS4 for a wavelength of 1.5418 Å, from a structure optimized by DFT (GGA-PBE).
Intensities are scaled so that the largest is 100.

Atomic structure:
a b c (Å): 7.3767 7.3767 7.3767
angles (deg): 116.91 116.91 95.45
Positions (direct):
Cs: 0.0000 0.0000 0.0000
Cs: 0.7500 0.2500 0.5000
Ac: 0.5000 0.5000 0.0000
V: 0.2500 0.7500 0.5000
S: 0.2110 0.0775 0.5646
S: 0.3536 0.7890 0.8665
S: 0.5129 0.6464 0.4354
S: 0.9225 0.4871 0.1335

The 10 most intense peaks (2θ = 5–70°), by angle:
2θ 14.5, I 13
2θ 23.0, I 38
2θ 24.2, I 100
2θ 32.8, I 25
2θ 41.2, I 45
2θ 43.4, I 26
2θ 49.7, I 12
2θ 53.1, I 12
2θ 64.3, I 13
2θ 65.9, I 11